Record 1
Starting from a cell relaxed with GGA+U, the PXRD pattern of LiCrS2O8 was calculated for λ = 1.5418 Å (Cu Kα).
Peak positions follow from Bragg's law for the DFT cell and can differ from measured ones.

Largest 8 diffraction maxima, sorted by position, 10 to 90 degrees two-theta:
2θ (°)  I_rel
14.6  52
20.0  29
23.8  11
24.4  100
24.5  12
29.4  18
32.1  22
33.0  11

Crystal structure
Cell: 8.3178 8.3418 8.8779 Å, 62.15 62.37 60.16°
Sites, in units of the cell vectors:
Li (0.0000, 0.0000, 0.0000)
Li (0.1800, 0.5891, 0.3070)
Li (0.5830, 0.6701, 0.9994)
Cr (0.4647, 0.8831, 0.4397)
Cr (0.6691, 0.0924, 0.8212)
Cr (0.9832, 0.3949, 0.9071)
S (0.0748, 0.1974, 0.6166)
S (0.2785, 0.9944, 0.1183)
S (0.3642, 0.4936, 0.6167)
S (0.5759, 0.2800, 0.1157)
S (0.7814, 0.7830, 0.6165)
S (0.8650, 0.6980, 0.1204)
O (0.0584, 0.6145, 0.1335)
O (0.1014, 0.2009, 0.7759)
O (0.1211, 0.3467, 0.4561)
O (0.1571, 0.2034, 0.0682)
O (0.1731, 0.5248, 0.7658)
O (0.1925, 0.8730, 0.1259)
O (0.2039, 0.9959, 0.6066)
O (0.3057, 0.9403, 0.2905)
O (0.3378, 0.5383, 0.4505)
O (0.4489, 0.6220, 0.6064)
O (0.4630, 0.4775, 0.1262)
O (0.4775, 0.9522, 0.9775)
O (0.4965, 0.2865, 0.6687)
O (0.5244, 0.1337, 0.2885)
O (0.5404, 0.2638, 0.9737)
O (0.5790, 0.8635, 0.6070)
O (0.7103, 0.7259, 0.2889)
O (0.7876, 0.5938, 0.7747)
O (0.7907, 0.2394, 0.0683)
O (0.8011, 0.9169, 0.6685)
O (0.8262, 0.5765, 0.0664)
O (0.8460, 0.8967, 0.9770)
O (0.8687, 0.2193, 0.6672)
O (0.9299, 0.7494, 0.4550)

---

Record 2
Starting from a cell relaxed with GGA+U, the PXRD pattern of LiTiCrSO8 was calculated for λ = 1.5418 Å (Cu Kα).
Peak positions follow from Bragg's law for the DFT cell and can differ from measured ones.

Largest 8 diffraction maxima, sorted by position, 10 to 90 degrees two-theta:
2θ (°)  I_rel
14.1  56
14.2  40
19.3  23
23.1  32
23.5  100
23.6  52
23.8  51
28.3  22

Crystal structure
Cell: 8.5710 8.6473 9.0782 Å, 62.65 63.09 60.48°
Sites, in units of the cell vectors:
Li (0.0000, 0.0000, 0.0000)
Li (0.2482, 0.6371, 0.0670)
Li (0.6117, 0.0213, 0.0792)
Ti (0.1901, 0.2161, 0.3731)
Ti (0.4796, 0.4920, 0.5133)
Ti (0.6866, 0.7035, 0.8739)
Cr (0.0917, 0.3877, 0.7003)
Cr (0.5889, 0.3213, 0.1826)
Cr (0.8029, 0.1035, 0.6964)
S (0.3085, 0.8866, 0.1905)
S (0.3739, 0.8173, 0.6877)
S (0.8662, 0.6002, 0.1883)
O (0.0659, 0.4774, 0.1975)
O (0.1323, 0.1852, 0.8435)
O (0.1441, 0.3481, 0.5019)
O (0.1899, 0.8490, 0.1447)
O (0.2026, 0.8164, 0.8348)
O (0.2188, 0.0746, 0.2122)
O (0.2330, 0.4985, 0.6570)
O (0.3352, 0.9708, 0.5277)
O (0.3488, 0.7451, 0.3545)
O (0.4371, 0.2186, 0.2100)
O (0.4702, 0.6363, 0.6514)
O (0.4940, 0.8810, 0.0491)
O (0.5062, 0.8454, 0.7313)
O (0.5150, 0.3695, 0.3771)
O (0.5311, 0.5415, 0.0321)
O (0.5889, 0.2710, 0.6640)
O (0.7344, 0.5429, 0.3590)
O (0.7931, 0.8846, 0.7517)
O (0.8007, 0.1699, 0.1555)
O (0.8031, 0.1263, 0.8665)
O (0.8414, 0.5685, 0.0527)
O (0.8445, 0.7952, 0.1413)
O (0.8548, 0.5419, 0.7515)
O (0.9724, 0.1515, 0.5045)

---

Record 3
Starting from a cell relaxed with GGA+U, the PXRD pattern of LiZnCr3S6O24 was calculated for λ = 1.5418 Å (Cu Kα).
Peak positions follow from Bragg's law for the DFT cell and can differ from measured ones.

Largest 8 diffraction maxima, sorted by position, 10 to 90 degrees two-theta:
2θ (°)  I_rel
14.6  84
20.0  74
24.4  48
24.5  100
29.4  40
29.5  20
32.1  38
32.2  42

Crystal structure
Cell: 8.3121 8.3173 8.9001 Å, 62.20 62.33 60.36°
Sites, in units of the cell vectors:
Li (0.0000, 0.0000, 0.0000)
Zn (0.3956, 0.7193, 0.9161)
Cr (0.0792, 0.4326, 0.8204)
Cr (0.5815, 0.9308, 0.3095)
Cr (0.8720, 0.2254, 0.4385)
S (0.1840, 0.1236, 0.6200)
S (0.2658, 0.0492, 0.1201)
S (0.4829, 0.5340, 0.6204)
S (0.6935, 0.3228, 0.1238)
S (0.7690, 0.8338, 0.6205)
S (0.9764, 0.6178, 0.1197)
O (0.1206, 0.0771, 0.2916)
O (0.1774, 0.5948, 0.0772)
O (0.1884, 0.9395, 0.7706)
O (0.2111, 0.2596, 0.6625)
O (0.2321, 0.9193, 0.0754)
O (0.2529, 0.2394, 0.9753)
O (0.2763, 0.5631, 0.6640)
O (0.3371, 0.0898, 0.4535)
O (0.4624, 0.9597, 0.1390)
O (0.5193, 0.5456, 0.7607)
O (0.5272, 0.6858, 0.4476)
O (0.5679, 0.5255, 0.0778)
O (0.5804, 0.8694, 0.7597)
O (0.6081, 0.3394, 0.5957)
O (0.6128, 0.1895, 0.1392)
O (0.7240, 0.2671, 0.2939)
O (0.7463, 0.8772, 0.4471)
O (0.8471, 0.8204, 0.1349)
O (0.8621, 0.9613, 0.5959)
O (0.8889, 0.2852, 0.9786)
O (0.9027, 0.6284, 0.6664)
O (0.9160, 0.4783, 0.2927)
O (0.9417, 0.6045, 0.9764)
O (0.9894, 0.2147, 0.5953)

---

Record 4
Starting from a cell relaxed with GGA+U, the PXRD pattern of Li6Cr3Sb3O16 was calculated for λ = 1.5418 Å (Cu Kα).
Peak positions follow from Bragg's law for the DFT cell and can differ from measured ones.

Largest 8 diffraction maxima, sorted by position, 10 to 90 degrees two-theta:
2θ (°)  I_rel
16.9  20
17.7  100
19.1  38
35.3  32
35.5  15
38.7  17
43.8  28
57.9  20

Crystal structure
Cell: 6.0471 6.0471 10.0264 Å, 90.15 90.15 60.31°
Sites, in units of the cell vectors:
Li (0.0000, 0.0000, 0.0000)
Li (0.0010, 0.0010, 0.5070)
Li (0.3405, 0.3405, 0.3917)
Li (0.3512, 0.3512, 0.0039)
Li (0.6784, 0.6784, 0.8829)
Li (0.6811, 0.6811, 0.5032)
Cr (0.1806, 0.6768, 0.7185)
Cr (0.6768, 0.1806, 0.7185)
Cr (0.8438, 0.8438, 0.2192)
Sb (0.1814, 0.1814, 0.7184)
Sb (0.3485, 0.8438, 0.2191)
Sb (0.8438, 0.3485, 0.2191)
O (0.0114, 0.0114, 0.3258)
O (0.0127, 0.0127, 0.8208)
O (0.0435, 0.5024, 0.8260)
O (0.1658, 0.1658, 0.1068)
O (0.1718, 0.7039, 0.1122)
O (0.3149, 0.8547, 0.6120)
O (0.3452, 0.3452, 0.6079)
O (0.4953, 0.4953, 0.8148)
O (0.5024, 0.0435, 0.8260)
O (0.5209, 0.9826, 0.3279)
O (0.5232, 0.5232, 0.3308)
O (0.6785, 0.6785, 0.1054)
O (0.7039, 0.1718, 0.1122)
O (0.8547, 0.3149, 0.6120)
O (0.8589, 0.8589, 0.6234)
O (0.9826, 0.5209, 0.3279)

---

Record 5
Starting from a cell relaxed with GGA+U, the PXRD pattern of Li8Cr3SbO12 was calculated for λ = 1.5418 Å (Cu Kα).
Peak positions follow from Bragg's law for the DFT cell and can differ from measured ones.

Largest 8 diffraction maxima, sorted by position, 10 to 90 degrees two-theta:
2θ (°)  I_rel
20.4  97
20.5  100
20.7  21
32.6  40
32.6  19
33.0  17
41.2  19
51.7  27

Crystal structure
Cell: 5.0310 5.0471 8.5664 Å, 90.39 90.61 90.76°
Sites, in units of the cell vectors:
Li (0.0000, 0.0000, 0.0000)
Li (0.9998, 0.4980, 0.8354)
Li (0.0011, 0.5013, 0.1447)
Li (0.0018, 0.9951, 0.3132)
Li (0.4931, 0.0022, 0.6463)
Li (0.5020, 0.4963, 0.8081)
Li (0.5038, 0.0020, 0.3447)
Li (0.5083, 0.5093, 0.5093)
Cr (0.0071, 0.4918, 0.4954)
Cr (0.4990, 0.0011, 0.9755)
Cr (0.9895, 0.9971, 0.6707)
Sb (0.5006, 0.5036, 0.1653)
O (0.2080, 0.1806, 0.5021)
O (0.2180, 0.6733, 0.6471)
O (0.2419, 0.1483, 0.8163)
O (0.2582, 0.6531, 0.3278)
O (0.2749, 0.6697, 0.9953)
O (0.2794, 0.1716, 0.1508)
O (0.7239, 0.3328, 0.9972)
O (0.7243, 0.8339, 0.1509)
O (0.7541, 0.3584, 0.3282)
O (0.7551, 0.8511, 0.8189)
O (0.7780, 0.3238, 0.6503)
O (0.7925, 0.8249, 0.5007)